# Tb6Dy5Ho
Simulated X-ray diffraction stick pattern, a wavelength of 1.5418 Å. Input: a structure optimized by DFT (PBE).
Neutral-atom scattering factors, no anomalous dispersion.

Structure:
Lattice parameters (Å, degrees): 5.0026 10.0222 15.0369 90.00 90.00 90.00
Space group Immm (No. 71)
Inequivalent atoms, fractional coordinates:
1 Tb 0.0000 0.2498 0.0000 x4
2 Tb 0.0000 0.2501 0.3334 x8
3 Dy 0.0000 0.0000 0.1665 x4
4 Dy 0.0000 0.0000 0.5000 x2
5 Dy 0.0000 0.5000 0.1667 x4
6 Ho 0.0000 0.5000 0.5000 x2

Top 10 peaks for 15 to 90 degrees two-theta, in order of rising 2θ:
(1 2 3), 30.9°, rel. 100.0; (2 0 0), 35.9°, rel. 50.6; (2 4 0), 51.6°, rel. 36.0; (3 2 3), 61.4°, rel. 42.7; (2 4 6), 64.4°, rel. 12.3; (0 8 0), 75.9°, rel. 3.8; (4 0 0), 76.1°, rel. 1.9; (3 6 3), 84.3°, rel. 17.8; (2 8 0), 87.0°, rel. 11.1; (4 4 0), 87.1°, rel. 5.6